Diffraction record for Pm2AlOs2. The powder X-ray diffraction pattern is simulated, not measured: it uses a DFT-relaxed cell (GGA-PBE, Alexandria) and Cu Kα, 1.54184 Å.
Intensities are scaled so that the largest is 100.

Lattice parameters (Å, degrees): 4.2629 5.5888 9.1208 90.00 90.00 90.00
Space group Immm (No. 71)
Unique sites:
Pm 0.0000 0.0000 0.2029 [4 per cell]
Al 0.0000 0.5000 0.0000 [2 per cell]
Os 0.0000 0.2786 0.5000 [4 per cell]

Principal peaks in the range 2θ = 10–90°, in order of rising 2θ:
2θ (°)	d/Å	I/Imax	(hkl)
23.0	3.862	64	1 0 1
26.3	3.389	28	1 1 0
32.9	2.720	90	1 1 2
36.3	2.475	100	1 0 3
37.8	2.383	87	0 2 2
39.5	2.280	31	0 0 4
39.8	2.264	100	1 2 1
42.4	2.131	47	2 0 0
58.1	1.589	66	2 2 2
64.8	1.438	50	1 2 5